Record 1
Starting from a cell relaxed with PBE, the powder XRD pattern of RbMo6Se7 was simulated for CuKα.
Kinematic intensities with the Lorentz-polarization factor, no thermal factor.

Most intense lines, 10 to 80 degrees two-theta, low angle first:
11.09°, d 7.980, I 100.0; 28.28°, d 3.155, I 21.5; 31.86°, d 2.809, I 11.4; 33.42°, d 2.681, I 13.0; 38.70°, d 2.326, I 13.5; 41.27°, d 2.187, I 10.4; 42.76°, d 2.115, I 10.1; 43.13°, d 2.097, I 43.3; 43.72°, d 2.070, I 11.8; 50.67°, d 1.802, I 13.7

Crystal structure
a b c (Å): 10.0073 10.0073 10.0073
angles (deg): 58.17 58.17 58.17
Element x y z (fractional)
Rb 0.1313 0.1313 0.1313
Rb 0.8687 0.8687 0.8687
Mo 0.1942 0.5076 0.3834
Mo 0.3042 0.4401 0.6221
Mo 0.3779 0.6958 0.5599
Mo 0.3834 0.1942 0.5076
Mo 0.4401 0.6221 0.3042
Mo 0.4924 0.6166 0.8058
Mo 0.5076 0.3834 0.1942
Mo 0.5599 0.3779 0.6958
Mo 0.6166 0.8058 0.4924
Mo 0.6221 0.3042 0.4401
Mo 0.6958 0.5599 0.3779
Mo 0.8058 0.4924 0.6166
Se 0.0797 0.3310 0.6987
Se 0.1284 0.7460 0.4832
Se 0.2540 0.5168 0.8716
Se 0.2802 0.2802 0.2802
Se 0.3013 0.9203 0.6690
Se 0.3310 0.6987 0.0797
Se 0.4832 0.1284 0.7460
Se 0.5168 0.8716 0.2540
Se 0.6690 0.3013 0.9203
Se 0.6987 0.0797 0.3310
Se 0.7198 0.7198 0.7198
Se 0.7460 0.4832 0.1284
Se 0.8716 0.2540 0.5168
Se 0.9203 0.6690 0.3013

=====

Record 2
Starting from a cell relaxed with PBE, the powder XRD pattern of TlSn2SbAu4 was simulated for CuKα.
Kinematic intensities with the Lorentz-polarization factor, no thermal factor.

Most intense lines, 10 to 80 degrees two-theta, low angle first:
30.65°, d 2.916, I 100.0; 31.27°, d 2.861, I 47.4; 43.82°, d 2.066, I 19.1; 43.98°, d 2.059, I 18.9; 44.36°, d 2.042, I 73.8; 54.81°, d 1.675, I 19.9; 54.95°, d 1.671, I 19.8; 63.83°, d 1.458, I 12.7; 72.80°, d 1.299, I 17.4; 73.78°, d 1.284, I 16.7

Crystal structure
a b c (Å): 7.0575 7.0490 5.8329
angles (deg): 65.65 65.50 48.85
Element x y z (fractional)
Tl 0.0000 0.0000 0.0000
Sn 0.2500 0.2500 0.2500
Sn 0.7500 0.7500 0.7500
Sb 0.5000 0.5000 0.5000
Au 0.0000 0.0000 0.5000
Au 0.2533 0.2533 0.7467
Au 0.5000 0.5000 0.0000
Au 0.7467 0.7467 0.2533